La2SiRh: theoretical powder diffractogram (Cu Kα (weighted mean of Kα1 and Kα2)), based on a structure optimized by DFT (GGA-PBE).
Lines closer than 0.1° are merged.

Structure:
```
data_La2SiRh
_chemical_formula_sum 'La4 Si2 Rh2'
_cell_length_a 4.241
_cell_length_b 4.439
_cell_length_c 10.642
_cell_angle_alpha 90.00
_cell_angle_beta 90.00
_cell_angle_gamma 90.00
_space_group_name_H-M_alt 'A m m 2'
_space_group_IT_number 38
_space_group_name_Hall 'A 2 -2'
loop_
_atom_site_label
_atom_site_type_symbol
_atom_site_fract_x
_atom_site_fract_y
_atom_site_fract_z
La1 La 0.000 0.000 0.000
La2 La 0.500 0.000 0.285
Si1 Si 0.500 0.000 0.583
Rh1 Rh 0.000 0.000 0.715
```

Largest 10 diffraction maxima, by intensity, 2θ = 10–90°:
- 2θ 30.3, I 100.0, (1 1 1)
- 2θ 32.3, I 45.5, (0 1 3)
- 2θ 38.8, I 41.3, (1 1 3)
- 2θ 26.9, I 24.8, (1 0 2)
- 2θ 40.7, I 24.0, (0 2 0)
- 2θ 42.6, I 20.9, (2 0 0)
- 2θ 54.5, I 20.5, (2 1 3)
- 2θ 33.7, I 19.4, (0 0 4)
- 2θ 40.0, I 18.5, (1 0 4)
- 2θ 60.4, I 14.8, (2 2 0)